Starting from DFT lattice parameters and positions (PBE+U), the powder XRD pattern of Rb3CdW2O8 was calculated for Cu Kα X-rays.
Kinematic intensities with the Lorentz-polarization factor, no thermal factor.

Atomic structure:
```
data_Rb3CdW2O8
_cell_length_a 6.4041
_cell_length_b 6.4041
_cell_length_c 8.2167
_cell_angle_alpha 90.00
_cell_angle_beta 90.00
_cell_angle_gamma 120.00
_space_group_name_H-M_alt 'P -3 m 1'
_space_group_IT_number 164
_space_group_name_Hall '-P 3 2"'
loop_
_atom_site_label
_atom_site_type_symbol
_atom_site_fract_x
_atom_site_fract_y
_atom_site_fract_z
Rb1 Rb 0.0000 0.0000 0.0000
Rb2 Rb 0.3333 0.6667 0.6628
Cd1 Cd 0.0000 0.0000 0.5000
W1 W 0.3333 0.6667 0.2125
O1 O 0.1792 0.3584 0.2920
O2 O 0.3333 0.6667 0.9931
```

Peak list (10 most intense, 5 to 70 degrees two-theta, sorted by position)
2theta	Rel. int.	index
19.31	41	1 0 1
27.01	82	0 1 2
27.86	100	1 1 0
36.59	14	0 1 3
39.19	41	2 0 2
47.18	12	1 0 4
48.77	31	1 2 2
49.29	20	3 0 0
57.57	17	2 2 0
64.71	14	3 1 2